(1)
Simulated X-ray powder pattern
Compound: OsOF2
Radiation: Cu Kα (weighted mean of Kα1 and Kα2)
Structure: a DFT-relaxed cell (GGA-PBE, OQMD)
Intensities are scaled so that the largest is 100.

Structure:
```
16
Lattice="4.854 0.000 0.000 0.000 7.089 0.000 -0.765 0.000 5.126" Properties=species:S:1:pos:R:3 pbc="T T T"
Os -0.114 0.000 0.944
Os 1.823 1.375 2.997
Os 2.266 4.920 2.129
Os 4.203 3.545 4.182
O 0.403 2.135 3.816
O 1.314 6.651 2.200
O 2.775 3.107 2.925
O 3.686 5.680 1.310
F 0.421 4.345 2.670
F 0.263 6.637 4.604
F 1.066 1.717 1.143
F 1.528 4.343 0.332
F 2.561 0.799 4.794
F 3.023 5.262 3.983
F 3.826 3.092 0.522
F 3.668 0.801 2.456
```

Principal peaks in the range 2θ = 10–90°, in order of rising 2θ:
- 21.39°, 4.154 Å, rel. 57.8
- 23.45°, 3.794 Å, rel. 41.9
- 26.65°, 3.345 Å, rel. 72.4
- 27.26°, 3.271 Å, rel. 34.4
- 30.09°, 2.970 Å, rel. 39.6
- 30.67°, 2.915 Å, rel. 44.5
- 31.37°, 2.852 Å, rel. 100.0
- 37.29°, 2.411 Å, rel. 35.4
- 37.46°, 2.401 Å, rel. 24.8
- 42.11°, 2.146 Å, rel. 22.6
- 49.75°, 1.833 Å, rel. 21.2
- 54.32°, 1.689 Å, rel. 21.8


(2)
Simulated X-ray powder pattern
Compound: K3Cu8Te2S4
Radiation: Cu Kα (weighted mean of Kα1 and Kα2)
Structure: a DFT-relaxed cell (GGA-PBE, OQMD)
Intensities are scaled so that the largest is 100.

Structure:
```
17
Lattice="9.049 -1.964 0.000 9.049 1.964 0.000 -2.314 0.000 9.605" Properties=species:S:1:pos:R:3 pbc="T T T"
K 0.000 0.000 0.000
K 2.450 0.000 2.658
K 13.335 0.000 6.947
Cu -1.164 0.000 6.179
Cu 1.530 0.000 8.934
Cu 6.568 0.000 2.096
Cu 6.561 0.000 4.671
Cu 9.224 0.000 4.933
Cu 9.218 0.000 7.509
Cu 14.255 0.000 0.671
Cu 16.949 0.000 3.426
Te 1.531 0.000 6.124
Te 14.254 0.000 3.480
S 3.898 0.000 9.450
S 6.879 0.000 6.911
S 8.907 0.000 2.693
S 11.888 0.000 0.154
```

Principal peaks in the range 2θ = 10–90°, in order of rising 2θ:
- 11.95°, 7.409 Å, rel. 100.0
- 27.32°, 3.264 Å, rel. 11.9
- 30.46°, 2.934 Å, rel. 17.2
- 34.21°, 2.621 Å, rel. 34.6
- 37.51°, 2.398 Å, rel. 40.5
- 41.84°, 2.159 Å, rel. 30.6
- 42.72°, 2.117 Å, rel. 8.8
- 43.44°, 2.083 Å, rel. 22.5
- 46.22°, 1.964 Å, rel. 19.5
- 46.64°, 1.947 Å, rel. 16.5
- 51.70°, 1.768 Å, rel. 11.9
- 67.76°, 1.383 Å, rel. 9.9


(3)
Simulated X-ray powder pattern
Compound: BaLaCu
Radiation: Cu Kα (weighted mean of Kα1 and Kα2)
Structure: a DFT-relaxed cell (GGA-PBE, OQMD)
Intensities are scaled so that the largest is 100.

Structure:
```
12
Lattice="7.187 0.000 0.000 0.000 7.187 0.000 0.000 0.000 7.187" Properties=species:S:1:pos:R:3 pbc="T T T"
Ba 0.000 0.000 0.000
Ba 0.000 3.594 3.594
Ba 3.594 0.000 3.594
Ba 3.594 3.594 0.000
La 1.797 1.797 1.797
La 1.797 5.390 5.390
La 5.390 1.797 5.390
La 5.390 5.390 1.797
Cu 0.000 0.000 3.594
Cu 0.000 3.594 0.000
Cu 3.594 0.000 0.000
Cu 3.594 3.594 3.594
```

Principal peaks in the range 2θ = 10–90°, in order of rising 2θ:
- 21.41°, 4.150 Å, rel. 47.3
- 24.78°, 3.594 Å, rel. 4.6
- 35.32°, 2.541 Å, rel. 100.0
- 41.68°, 2.167 Å, rel. 24.9
- 50.81°, 1.797 Å, rel. 17.4
- 55.75°, 1.649 Å, rel. 10.7
- 63.40°, 1.467 Å, rel. 35.4
- 67.75°, 1.383 Å, rel. 8.0
- 74.71°, 1.271 Å, rel. 10.9
- 78.78°, 1.215 Å, rel. 7.9
- 85.44°, 1.136 Å, rel. 15.5
- 89.40°, 1.096 Å, rel. 3.0


(4)
Simulated X-ray powder pattern
Compound: PrGaNi2Sn
Radiation: Cu Kα (weighted mean of Kα1 and Kα2)
Structure: a DFT-relaxed cell (GGA-PBE, OQMD)
Intensities are scaled so that the largest is 100.

Structure:
```
10
Lattice="4.332 0.000 0.000 0.000 4.332 0.000 0.000 0.000 10.092" Properties=species:S:1:pos:R:3 pbc="T T T"
Pr 1.083 1.083 2.425
Pr 3.249 3.249 7.667
Ga 1.083 3.249 0.000
Ga 3.249 1.083 0.000
Ni 1.083 1.083 8.940
Ni 1.083 3.249 5.046
Ni 3.249 1.083 5.046
Ni 3.249 3.249 1.152
Sn 1.083 1.083 6.395
Sn 3.249 3.249 3.697
```

Principal peaks in the range 2θ = 10–90°, in order of rising 2θ:
- 29.15°, 3.063 Å, rel. 33.9
- 33.73°, 2.657 Å, rel. 90.5
- 34.24°, 2.619 Å, rel. 100.0
- 41.70°, 2.166 Å, rel. 78.4
- 46.64°, 1.948 Å, rel. 17.1
- 49.84°, 1.830 Å, rel. 31.2
- 54.67°, 1.679 Å, rel. 45.3
- 60.44°, 1.532 Å, rel. 25.7
- 63.05°, 1.474 Å, rel. 13.2
- 66.95°, 1.398 Å, rel. 25.8
- 71.33°, 1.322 Å, rel. 22.6
- 85.89°, 1.132 Å, rel. 12.7


(5)
Simulated X-ray powder pattern
Compound: Zr2In2CuAg
Radiation: Cu Kα (weighted mean of Kα1 and Kα2)
Structure: a DFT-relaxed cell (GGA-PBE, OQMD)
Intensities are scaled so that the largest is 100.

Structure:
```
24
Lattice="7.831 0.000 0.000 0.000 4.500 0.000 -2.528 0.000 14.745" Properties=species:S:1:pos:R:3 pbc="T T T"
Zr 0.000 0.000 0.000
Zr -1.189 2.250 7.278
Zr -0.008 0.000 10.882
Zr 1.323 2.250 3.578
Zr 2.559 0.000 7.163
Zr 1.390 2.250 14.744
Zr 5.224 0.000 3.509
Zr 4.059 2.250 10.926
In -1.225 2.250 12.730
In 0.056 0.000 5.368
In 1.313 2.250 9.038
In 2.607 0.000 1.821
In 3.886 2.250 5.363
In 2.677 0.000 12.781
In 6.543 2.250 1.829
In 5.318 0.000 9.097
Cu 0.013 0.000 2.686
Cu -1.241 2.250 9.993
Cu 1.322 2.250 6.296
Cu 3.921 2.250 2.673
Ag 0.069 0.000 13.734
Ag 2.665 0.000 9.981
Ag 5.252 0.000 6.314
Ag 4.002 2.250 13.750
```

Principal peaks in the range 2θ = 10–90°, in order of rising 2θ:
- 24.16°, 3.684 Å, rel. 37.6
- 27.84°, 3.204 Å, rel. 10.3
- 28.02°, 3.184 Å, rel. 20.7
- 39.92°, 2.258 Å, rel. 100.0
- 40.05°, 2.251 Å, rel. 49.9
- 47.32°, 1.921 Å, rel. 11.8
- 49.48°, 1.842 Å, rel. 8.2
- 57.53°, 1.602 Å, rel. 8.0
- 57.93°, 1.592 Å, rel. 16.0
- 72.40°, 1.305 Å, rel. 15.5
- 72.66°, 1.301 Å, rel. 31.4
- 86.11°, 1.129 Å, rel. 9.8


(6)
Simulated X-ray powder pattern
Compound: LaGd3Au4
Radiation: Cu Kα (weighted mean of Kα1 and Kα2)
Structure: a DFT-relaxed cell (GGA-PBE, OQMD)
Intensities are scaled so that the largest is 100.

Structure:
```
8
Lattice="5.779 0.000 0.000 0.000 4.759 0.000 -0.174 0.000 7.331" Properties=species:S:1:pos:R:3 pbc="T T T"
La 0.000 0.000 0.000
Gd 1.136 0.000 3.637
Gd 2.854 2.379 0.969
Gd 3.980 2.379 4.576
Au 0.007 2.379 2.092
Au 1.072 2.379 5.574
Au 2.771 0.000 6.236
Au 3.963 0.000 2.641
```

Principal peaks in the range 2θ = 10–90°, in order of rising 2θ:
- 19.33°, 4.591 Å, rel. 20.9
- 30.79°, 2.904 Å, rel. 100.0
- 33.06°, 2.710 Å, rel. 35.4
- 33.61°, 2.666 Å, rel. 27.3
- 34.30°, 2.614 Å, rel. 76.4
- 34.84°, 2.575 Å, rel. 91.5
- 37.81°, 2.379 Å, rel. 82.0
- 38.22°, 2.355 Å, rel. 74.6
- 38.71°, 2.326 Å, rel. 71.1
- 51.08°, 1.788 Å, rel. 20.9
- 63.92°, 1.456 Å, rel. 23.7
- 66.04°, 1.415 Å, rel. 27.5


(7)
Simulated X-ray powder pattern
Compound: Ba4Li2Cd3P6
Radiation: Cu Kα (weighted mean of Kα1 and Kα2)
Structure: a DFT-relaxed cell (GGA-PBE, OQMD)
Intensities are scaled so that the largest is 100.

Structure:
```
30
Lattice="2.248 -9.977 0.000 2.248 9.977 0.000 0.000 0.000 16.849" Properties=species:S:1:pos:R:3 pbc="T T T"
Ba 2.248 9.653 10.487
Ba 2.248 9.653 14.787
Ba 2.248 6.556 1.153
Ba 2.248 6.556 7.271
Ba 2.248 -6.556 9.578
Ba 2.248 -6.556 15.696
Ba 2.248 -9.653 2.062
Ba 2.248 -9.653 6.362
Li 2.248 6.985 12.637
Li 2.248 1.261 12.637
Li 2.248 -1.261 4.212
Li 2.248 -6.985 4.212
Cd 2.248 4.059 12.637
Cd 2.248 3.004 2.110
Cd 2.248 3.004 6.314
Cd 2.248 -3.004 10.535
Cd 2.248 -3.004 14.739
Cd 2.248 -4.059 4.212
P 2.248 7.585 4.212
P 2.248 5.594 10.419
P 2.248 5.594 14.854
P 2.248 1.383 4.212
P 2.248 1.118 8.617
P 2.248 1.118 16.657
P 2.248 -1.118 0.192
P 2.248 -1.118 8.233
P 2.248 -1.383 12.637
P 2.248 -5.594 1.995
P 2.248 -5.594 6.430
P 2.248 -7.585 12.637
```

Principal peaks in the range 2θ = 10–90°, in order of rising 2θ:
- 25.77°, 3.457 Å, rel. 100.0
- 26.16°, 3.407 Å, rel. 46.4
- 26.81°, 3.326 Å, rel. 60.9
- 27.95°, 3.193 Å, rel. 69.4
- 30.41°, 2.939 Å, rel. 69.3
- 31.83°, 2.811 Å, rel. 45.1
- 32.07°, 2.791 Å, rel. 89.1
- 34.01°, 2.636 Å, rel. 89.8
- 34.36°, 2.610 Å, rel. 38.1
- 36.91°, 2.435 Å, rel. 49.3
- 40.11°, 2.248 Å, rel. 66.2
- 49.73°, 1.833 Å, rel. 64.3


(8)
Simulated X-ray powder pattern
Compound: LaGd2Co2B2N3
Radiation: Cu Kα (weighted mean of Kα1 and Kα2)
Structure: a DFT-relaxed cell (GGA-PBE, OQMD)
Intensities are scaled so that the largest is 100.

Structure:
```
10
Lattice="-1.784 1.784 10.110 1.784 -1.784 10.110 1.784 1.784 -10.110" Properties=species:S:1:pos:R:3 pbc="T T T"
La 0.000 0.000 0.000
Gd 0.000 0.000 7.499
Gd 0.000 0.000 12.722
Co 1.784 0.000 5.055
Co 0.000 1.784 5.055
B 0.000 0.000 3.991
B 0.000 0.000 16.230
N 0.000 0.000 2.499
N 0.000 0.000 10.110
N 0.000 0.000 17.722
```

Principal peaks in the range 2θ = 10–90°, in order of rising 2θ:
- 28.30°, 3.154 Å, rel. 100.0
- 33.49°, 2.676 Å, rel. 58.6
- 35.55°, 2.526 Å, rel. 83.7
- 36.71°, 2.448 Å, rel. 29.3
- 39.93°, 2.258 Å, rel. 35.5
- 44.88°, 2.020 Å, rel. 28.9
- 51.18°, 1.785 Å, rel. 57.0
- 56.30°, 1.634 Å, rel. 21.4
- 59.53°, 1.553 Å, rel. 26.8
- 62.58°, 1.484 Å, rel. 20.0
- 63.86°, 1.458 Å, rel. 31.7
- 86.16°, 1.129 Å, rel. 19.8


(9)
Simulated X-ray powder pattern
Compound: Pr2Nd2CCl5
Radiation: Cu Kα (weighted mean of Kα1 and Kα2)
Structure: a DFT-relaxed cell (GGA-PBE, OQMD)
Intensities are scaled so that the largest is 100.

Structure:
```
10
Lattice="8.892 -1.960 0.000 8.892 1.960 0.000 -2.047 0.000 7.904" Properties=species:S:1:pos:R:3 pbc="T T T"
Pr -0.558 0.000 2.253
Pr 16.296 0.000 5.650
Nd 5.454 0.000 3.273
Nd 10.284 0.000 4.631
C 7.869 0.000 3.952
Cl 1.209 0.000 6.651
Cl 2.339 0.000 2.746
Cl 8.892 0.000 0.000
Cl 13.399 0.000 5.158
Cl 14.529 0.000 1.253
```

Principal peaks in the range 2θ = 10–90°, in order of rising 2θ:
- 10.28°, 8.608 Å, rel. 41.6
- 11.19°, 7.904 Å, rel. 86.9
- 20.88°, 4.255 Å, rel. 16.9
- 27.55°, 3.237 Å, rel. 33.0
- 31.17°, 2.869 Å, rel. 44.4
- 31.31°, 2.857 Å, rel. 26.3
- 31.65°, 2.827 Å, rel. 100.0
- 34.67°, 2.587 Å, rel. 18.1
- 44.65°, 2.029 Å, rel. 26.6
- 45.38°, 1.999 Å, rel. 31.2
- 46.32°, 1.960 Å, rel. 18.1
- 56.91°, 1.618 Å, rel. 20.6


(10)
Simulated X-ray powder pattern
Compound: ZnNi2Pt
Radiation: Cu Kα (weighted mean of Kα1 and Kα2)
Structure: a DFT-relaxed cell (GGA-PBE, OQMD)
Intensities are scaled so that the largest is 100.

Structure:
```
8
Lattice="3.737 0.000 0.000 0.000 3.737 0.000 0.000 0.000 7.300" Properties=species:S:1:pos:R:3 pbc="T T T"
Zn 0.000 0.000 0.000
Zn 1.869 1.869 3.650
Ni 0.000 1.869 1.825
Ni 0.000 1.869 5.475
Ni 1.869 0.000 1.825
Ni 1.869 0.000 5.475
Pt 0.000 0.000 3.650
Pt 1.869 1.869 0.000
```

Principal peaks in the range 2θ = 10–90°, in order of rising 2θ:
- 24.39°, 3.650 Å, rel. 11.6
- 26.80°, 3.327 Å, rel. 30.7
- 33.92°, 2.643 Å, rel. 10.3
- 42.22°, 2.140 Å, rel. 100.0
- 44.43°, 2.039 Å, rel. 8.2
- 48.73°, 1.869 Å, rel. 32.7
- 49.98°, 1.825 Å, rel. 15.2
- 56.48°, 1.629 Å, rel. 8.4
- 71.39°, 1.321 Å, rel. 10.1
- 72.38°, 1.306 Å, rel. 19.4
- 86.58°, 1.124 Å, rel. 24.3
- 88.46°, 1.105 Å, rel. 11.6


(11)
Simulated X-ray powder pattern
Compound: K2ErTm3C2
Radiation: Cu Kα (weighted mean of Kα1 and Kα2)
Structure: a DFT-relaxed cell (GGA-PBE, OQMD)
Intensities are scaled so that the largest is 100.

Structure:
```
8
Lattice="3.581 0.000 0.000 -1.790 3.101 0.000 0.000 0.000 20.435" Properties=species:S:1:pos:R:3 pbc="T T T"
K 0.000 0.000 0.000
K 0.000 2.067 10.233
Er 0.000 0.000 6.425
Tm 0.000 0.000 14.026
Tm 0.000 2.067 3.798
Tm 0.000 2.067 16.640
C 1.790 1.034 5.100
C 1.790 1.034 15.333
```

Principal peaks in the range 2θ = 10–90°, in order of rising 2θ:
- 26.17°, 3.406 Å, rel. 22.8
- 28.79°, 3.101 Å, rel. 21.3
- 31.70°, 2.822 Å, rel. 100.0
- 36.37°, 2.470 Å, rel. 38.0
- 39.29°, 2.293 Å, rel. 14.4
- 51.01°, 1.790 Å, rel. 20.6
- 51.84°, 1.764 Å, rel. 11.1
- 57.86°, 1.594 Å, rel. 11.8
- 58.21°, 1.585 Å, rel. 14.9
- 61.32°, 1.512 Å, rel. 14.9
- 63.45°, 1.466 Å, rel. 12.4
- 83.73°, 1.155 Å, rel. 12.5


(12)
Simulated X-ray powder pattern
Compound: PW4Cl11
Radiation: Cu Kα (weighted mean of Kα1 and Kα2)
Structure: a DFT-relaxed cell (GGA-PBE, OQMD)
Intensities are scaled so that the largest is 100.

Structure:
```
32
Lattice="6.704 -4.978 0.000 6.704 4.978 0.000 -0.207 0.000 11.440" Properties=species:S:1:pos:R:3 pbc="T T T"
P 2.237 0.000 2.846
P 10.965 0.000 8.594
W 3.680 1.304 1.461
W 3.631 1.305 4.271
W 3.680 -1.304 1.461
W 3.631 -1.305 4.271
W 9.571 1.305 7.169
W 9.522 1.304 9.978
W 9.571 -1.305 7.169
W 9.522 -1.304 9.978
Cl 0.200 0.000 2.815
Cl 4.765 3.278 0.182
Cl 4.667 3.280 5.589
Cl 3.844 1.872 8.591
Cl 5.609 1.558 2.901
Cl 8.535 3.280 5.851
Cl 8.437 3.278 11.258
Cl 4.920 0.000 5.831
Cl 4.826 0.000 11.390
Cl 7.593 1.558 8.539
Cl 3.844 -1.872 8.591
Cl 9.357 1.872 2.849
Cl 5.609 -1.558 2.901
Cl 8.376 0.000 0.050
Cl 8.281 0.000 5.609
Cl 4.765 -3.278 0.182
Cl 4.667 -3.280 5.589
Cl 7.593 -1.558 8.539
Cl 9.357 -1.872 2.849
Cl 8.535 -3.280 5.851
Cl 8.437 -3.278 11.258
Cl 13.001 0.000 8.625
```

Principal peaks in the range 2θ = 10–90°, in order of rising 2θ:
- 13.21°, 6.703 Å, rel. 100.0
- 13.45°, 6.585 Å, rel. 50.1
- 13.58°, 6.519 Å, rel. 47.9
- 28.79°, 3.101 Å, rel. 13.5
- 31.85°, 2.809 Å, rel. 10.2
- 33.85°, 2.648 Å, rel. 8.2
- 34.31°, 2.614 Å, rel. 8.7
- 36.06°, 2.491 Å, rel. 11.9
- 38.59°, 2.333 Å, rel. 13.2
- 41.13°, 2.195 Å, rel. 14.7
- 48.45°, 1.879 Å, rel. 13.1
- 55.39°, 1.659 Å, rel. 7.4